Calculated powder X-ray diffraction pattern
Compound: Rb2TaF7
Radiation: λ = 1.5418 Å (Cu Kα)
Structure: a PBE-relaxed structure
Kinematic intensities with the Lorentz-polarization factor, no thermal factor.

Cell and atoms:
```
Rb2TaF7
1.0
5.911 0.000 0.000
0.000 6.083 0.000
0.000 0.000 10.705
Rb Ta F
4 2 14
Cartesian
1.478 1.521 10.705
1.478 4.562 3.892
4.433 1.521 6.813
4.433 4.562 0.000
1.478 4.562 8.094
4.433 1.521 2.611
0.201 3.120 8.522
0.201 6.004 8.522
0.272 4.562 6.531
1.478 4.562 10.126
2.684 4.562 6.531
2.755 3.120 8.522
2.755 6.004 8.522
3.156 0.079 2.183
3.156 2.962 2.183
3.227 1.521 4.174
4.433 1.521 0.579
5.639 1.521 4.174
5.710 0.079 2.183
5.710 2.962 2.183
```

Principal peaks in the range 5 to 70 degrees two-theta, sorted by position:
2theta	intensity
16.56	25.8
16.76	52.4
17.14	44.2
20.96	60.9
22.56	36.6
26.83	100.0
29.23	25.5
29.37	32.6
42.40	23.4
42.66	35.1

Calculated powder X-ray diffraction pattern
Compound: Lu3Ni11Ge4
Radiation: λ = 1.5418 Å (Cu Kα)
Structure: a PBE-relaxed structure
Kinematic intensities with the Lorentz-polarization factor, no thermal factor.

Cell and atoms:
```
Lu3Ni11Ge4
1.0
8.238 0.000 0.000
-4.119 7.135 0.000
0.000 0.000 8.487
Lu Ni Ge
6 22 8
Cartesian
0.000 2.789 2.122
-1.704 5.740 2.122
2.415 1.394 6.365
1.704 5.740 2.122
5.823 1.394 6.365
4.119 4.346 6.365
-1.259 4.029 6.365
0.000 2.259 5.018
0.000 2.259 7.712
-2.163 6.005 5.018
-2.163 6.005 7.712
1.956 1.129 0.775
1.956 1.129 3.469
0.000 4.757 0.023
0.000 4.757 4.220
1.259 4.029 6.365
0.000 6.210 6.365
4.119 0.924 2.122
2.860 3.105 2.122
4.119 2.378 4.267
4.119 2.378 8.464
2.163 6.005 5.018
2.163 6.005 7.712
6.282 1.129 0.775
6.282 1.129 3.469
4.119 4.876 0.775
4.119 4.876 3.469
5.378 3.105 2.122
0.000 0.000 2.122
0.000 0.000 6.365
-2.060 3.567 0.000
-2.060 3.567 4.244
4.119 0.000 0.000
4.119 0.000 4.244
2.060 3.567 0.000
2.060 3.567 4.244
```

Principal peaks in the range 5 to 70 degrees two-theta, sorted by position:
2theta	intensity
27.11	27.8
34.09	12.6
39.34	56.4
39.60	72.9
40.70	100.0
42.61	20.2
43.96	86.2
46.53	14.2
50.09	20.9
69.50	20.7

Calculated powder X-ray diffraction pattern
Compound: Al4CO4
Radiation: λ = 1.5418 Å (Cu Kα)
Structure: a PBE-relaxed structure
Kinematic intensities with the Lorentz-polarization factor, no thermal factor.

Cell and atoms:
```
Al4CO4
1.0
2.893 -4.313 0.000
2.893 4.313 0.000
0.000 0.000 9.171
Al C O
8 2 8
Cartesian
2.893 3.774 4.586
1.567 1.410 2.660
2.893 0.879 5.319
1.567 -1.410 7.245
4.220 1.410 2.660
2.893 -0.879 0.733
4.220 -1.410 7.245
2.893 -3.774 0.000
2.893 2.628 6.185
2.893 -2.628 1.599
1.413 0.561 4.275
2.893 2.621 3.162
1.413 -0.561 8.860
2.893 0.498 1.837
2.893 -0.498 6.423
4.373 0.561 4.275
2.893 -2.621 7.747
4.373 -0.561 8.860
```

Principal peaks in the range 5 to 70 degrees two-theta, sorted by position:
2theta	intensity
20.87	100.0
22.78	80.6
26.88	51.6
28.41	71.2
36.01	23.7
36.73	36.5
38.74	58.8
46.09	27.3
61.63	35.8
63.86	42.6

Calculated powder X-ray diffraction pattern
Compound: Sm2Cr2C3
Radiation: λ = 1.5418 Å (Cu Kα)
Structure: a PBE-relaxed structure
Kinematic intensities with the Lorentz-polarization factor, no thermal factor.

Cell and atoms:
```
Sm2Cr2C3
1.0
5.198 -1.734 0.000
5.198 1.734 0.000
-1.500 0.000 5.507
Sm Cr C
2 2 3
Cartesian
0.588 0.000 1.754
8.309 0.000 3.753
3.393 0.000 0.568
5.504 0.000 4.940
0.996 0.000 4.303
5.198 0.000 0.000
7.901 0.000 1.204
```

Principal peaks in the range 5 to 70 degrees two-theta, sorted by position:
2theta	intensity
27.01	42.5
27.21	39.6
32.73	51.4
32.98	100.0
35.21	25.1
35.81	29.3
37.86	85.0
40.96	26.2
52.76	40.6
55.22	30.3

Calculated powder X-ray diffraction pattern
Compound: Hg5Sb2I6
Radiation: λ = 1.5418 Å (Cu Kα)
Structure: a PBE-relaxed structure
Kinematic intensities with the Lorentz-polarization factor, no thermal factor.

Cell and atoms:
```
Hg5Sb2I6
1.0
21.896 0.000 0.000
0.000 8.432 0.000
0.000 0.000 11.284
Hg Sb I
20 8 24
Cartesian
0.453 1.996 1.545
2.248 0.424 5.642
2.431 7.741 10.107
3.838 3.438 8.659
5.042 2.894 1.743
5.906 7.111 7.385
7.110 7.654 3.017
8.517 3.524 4.465
8.700 4.640 0.000
10.495 6.212 7.187
11.401 2.220 1.545
13.196 3.792 5.642
13.379 4.908 10.107
14.786 0.778 8.659
15.990 1.322 1.743
16.854 5.538 7.385
18.058 4.995 3.017
19.465 0.692 4.465
19.648 8.009 0.000
21.443 6.436 7.187
1.862 6.150 5.726
3.479 6.110 8.118
7.469 1.893 2.476
9.086 1.933 0.084
12.810 6.499 5.726
14.428 6.539 8.118
18.417 2.323 2.476
20.034 2.283 0.084
0.253 2.404 4.586
1.293 1.743 8.793
2.609 8.365 1.579
2.687 4.177 1.221
4.469 2.201 5.684
5.418 5.834 4.261
5.530 1.617 9.903
6.479 6.417 0.042
8.261 8.393 6.863
8.339 4.149 7.221
9.655 5.959 3.152
10.695 6.620 10.228
11.201 1.812 4.586
12.241 2.473 8.793
13.557 4.284 1.579
13.635 0.039 1.221
15.417 2.016 5.684
16.366 6.815 4.261
16.478 2.599 9.903
17.427 6.232 0.042
19.209 4.255 6.863
19.287 0.067 7.221
20.603 6.689 3.152
21.643 6.028 10.228
```

Principal peaks in the range 5 to 70 degrees two-theta, sorted by position:
2theta	intensity
11.25	43.7
22.88	44.3
25.03	72.3
25.94	40.0
26.67	100.0
27.21	28.5
29.14	29.5
40.81	28.7
41.32	25.9
46.20	28.7